Entry 1:
# Tb4Sm2Ho7
Theoretical PXRD pattern, copper Kα. Input: a DFT-relaxed cell (GGA-PBE, Alexandria).

Main lines, low angle first (15° ≤ 2θ ≤ 90°):
2θ 30.86, I = 100, hkl 2 1 0; 2θ 35.78, I = 51, hkl 1 3 2; 2θ 51.46, I = 18, hkl 0 3 5; 2θ 51.53, I = 18, hkl 3 2 3; 2θ 61.19, I = 18, hkl 1 5 1; 2θ 61.29, I = 25, hkl 4 0 1; 2θ 64.28, I = 9, hkl 4 2 0; 2θ 83.97, I = 6, hkl 2 0 7; 2θ 84.09, I = 10, hkl 4 3 6; 2θ 86.64, I = 4, hkl 3 3 -4; 2θ 86.76, I = 7, hkl 3 6 1; 2θ 86.87, I = 6, hkl 5 1 4

abc: 6.141 7.934 9.396
angles: 65.09 83.80 82.54
Space group P-1 (No. 2)
One atom of each set of equivalent atoms:
Tb 0.037 0.422 0.347 [2 per cell]
Tb 0.193 0.115 0.730 [2 per cell]
Sm 0.346 0.807 0.116 [2 per cell]
Ho 0.115 0.271 0.039 [2 per cell]
Ho 0.269 0.962 0.423 [2 per cell]
Ho 0.424 0.654 0.807 [2 per cell]
Ho 0.500 0.500 0.500 [1 per cell]

Entry 2:
# AcFe4B4
Theoretical PXRD pattern, copper Kα. Input: a DFT-relaxed cell (GGA-PBE, Alexandria).

Main lines, low angle first (15° ≤ 2θ ≤ 90°):
2θ 17.37, I = 15, hkl 1 1 0; 2θ 24.66, I = 43, hkl 2 0 0; 2θ 26.45, I = 72, hkl 1 0 1; 2θ 35.16, I = 21, hkl 2 2 0; 2θ 36.47, I = 100, hkl 2 1 1; 2θ 39.47, I = 67, hkl 1 3 0; 2θ 44.53, I = 16, hkl 3 0 1; 2θ 51.56, I = 33, hkl 2 3 1; 2θ 57.96, I = 21, hkl 4 1 1; 2θ 63.60, I = 18, hkl 1 3 2; 2θ 65.98, I = 15, hkl 1 5 0; 2θ 69.63, I = 21, hkl 5 0 1

abc: 7.220 7.220 3.811
angles: 90.00 90.00 90.00
Space group P4_2/n (No. 86, origin choice 2)
One atom of each set of equivalent atoms:
Ac 0.250 0.250 0.250 [2 per cell]
Fe 0.120 0.639 0.145 [8 per cell]
B 0.049 0.914 0.144 [8 per cell]

Entry 3:
# Zn5Cu6Au2
Theoretical PXRD pattern, copper Kα. Input: a DFT-relaxed cell (GGA-PBE, Alexandria).

Main lines, low angle first (15° ≤ 2θ ≤ 90°):
2θ 20.87, I = 19, hkl 2 1 0; 2θ 31.39, I = 35, hkl 2 1 1; 2θ 36.43, I = 26, hkl 1 3 1; 2θ 40.20, I = 91, hkl 2 3 1; 2θ 41.24, I = 100, hkl 3 2 1; 2θ 42.48, I = 23, hkl 4 2 0; 2θ 43.45, I = 34, hkl 1 4 1; 2θ 45.11, I = 33, hkl 1 5 0; 2θ 47.40, I = 44, hkl 0 0 2; 2θ 67.51, I = 19, hkl 1 5 2; 2θ 85.48, I = 15, hkl 3 8 1; 2θ 86.78, I = 15, hkl 5 5 2

abc: 9.350 10.289 3.836
angles: 90.00 90.00 90.00
Space group Pbam (No. 55)
One atom of each set of equivalent atoms:
Zn 0.000 0.000 0.000 [2 per cell]
Zn 0.094 0.392 0.000 [4 per cell]
Zn 0.123 0.777 0.000 [4 per cell]
Cu 0.092 0.598 0.500 [4 per cell]
Cu 0.204 0.922 0.500 [4 per cell]
Cu 0.242 0.076 0.000 [4 per cell]
Au 0.097 0.198 0.500 [4 per cell]

Entry 4:
# Zr4Al3C6
Theoretical PXRD pattern, copper Kα. Input: a DFT-relaxed cell (GGA-PBE, Alexandria).

Main lines, low angle first (15° ≤ 2θ ≤ 90°):
2θ 31.78, I = 18, hkl 1 0 3; 2θ 32.39, I = 23, hkl 0 0 12; 2θ 32.60, I = 100, hkl 1 0 4; 2θ 33.62, I = 42, hkl 1 0 5; 2θ 36.21, I = 22, hkl 1 0 7; 2θ 37.76, I = 77, hkl 1 0 8; 2θ 37.98, I = 19, hkl 0 0 14; 2θ 39.45, I = 42, hkl 1 0 9; 2θ 41.26, I = 17, hkl 1 0 10; 2θ 54.60, I = 52, hkl 1 1 0; 2θ 64.93, I = 20, hkl 1 1 12; 2θ 68.44, I = 19, hkl 1 1 14

abc: 3.3617 3.3617 33.1660
angles: 90.00 90.00 120.00
Space group P6_3/mmc (No. 194)
One atom of each set of equivalent atoms:
Zr 0.0000 0.0000 0.1205 [4 per cell]
Zr 0.3333 0.6667 0.0401 [4 per cell]
Al 0.3333 0.6667 0.2500 [2 per cell]
Al 0.3333 0.6667 0.6890 [4 per cell]
C 0.0000 0.0000 0.0000 [2 per cell]
C 0.3333 0.6667 0.1683 [4 per cell]
C 0.3333 0.6667 0.5829 [4 per cell]
C 0.3333 0.6667 0.7500 [2 per cell]

Entry 5:
# Sr2Ca2Cu3BiO8
Theoretical PXRD pattern, copper Kα. Input: a DFT-relaxed cell (GGA-PBE, Alexandria).

Main lines, low angle first (15° ≤ 2θ ≤ 90°):
2θ 15.27, I = 18, hkl 0 0 2; 2θ 17.24, I = 20, hkl 1 1 1; 2θ 27.00, I = 9, hkl 2 0 0; 2θ 27.83, I = 13, hkl 1 3 1; 2θ 30.84, I = 44, hkl 0 0 4; 2θ 34.89, I = 100, hkl 2 2 2; 2θ 44.17, I = 35, hkl 0 4 4; 2θ 57.49, I = 45, hkl 2 6 2; 2θ 64.25, I = 10, hkl 0 8 0; 2θ 65.01, I = 11, hkl 4 0 4; 2θ 73.67, I = 14, hkl 4 4 4; 2θ 75.24, I = 10, hkl 2 6 6

abc: 6.604 11.591 11.605
angles: 90.00 90.00 90.00
Space group Fmmm (No. 69)
One atom of each set of equivalent atoms:
Sr 0.250 0.250 0.000 [8 per cell]
Ca 0.250 0.000 0.250 [8 per cell]
Cu 0.000 0.000 0.000 [4 per cell]
Cu 0.000 0.250 0.250 [8 per cell]
Bi 0.000 0.000 0.500 [4 per cell]
O 0.000 0.120 0.126 [16 per cell]
O 0.000 0.132 0.360 [16 per cell]

Entry 6:
# Ac15La4Pm
Theoretical PXRD pattern, copper Kα. Input: a DFT-relaxed cell (GGA-PBE, Alexandria).

Main lines, low angle first (15° ≤ 2θ ≤ 90°):
2θ 15.94, I = 3, hkl 1 0 0; 2θ 22.62, I = 2, hkl 1 1 0; 2θ 27.80, I = 100, hkl 1 1 5; 2θ 32.21, I = 52, hkl 2 0 0; 2θ 46.19, I = 39, hkl 2 2 0; 2θ 54.77, I = 47, hkl 3 1 5; 2θ 57.43, I = 14, hkl 2 2 10; 2θ 67.39, I = 6, hkl 4 0 0; 2θ 74.39, I = 19, hkl 3 3 5; 2θ 76.63, I = 6, hkl 4 2 0; 2θ 76.68, I = 12, hkl 4 0 10; 2θ 85.60, I = 14, hkl 4 2 10

abc: 5.561 5.561 27.771
angles: 90.00 90.00 90.00
Space group P4/mmm (No. 123)
One atom of each set of equivalent atoms:
Ac 0.000 0.000 0.000 [1 per cell]
Ac 0.000 0.000 0.199 [2 per cell]
Ac 0.000 0.000 0.400 [2 per cell]
Ac 0.000 0.500 0.099 [4 per cell]
Ac 0.000 0.500 0.300 [4 per cell]
Ac 0.000 0.500 0.500 [2 per cell]
La 0.500 0.500 0.199 [2 per cell]
La 0.500 0.500 0.400 [2 per cell]
Pm 0.500 0.500 0.000 [1 per cell]

Entry 7:
# Na2SbTe4
Theoretical PXRD pattern, copper Kα. Input: a DFT-relaxed cell (GGA-PBE, Alexandria).

Main lines, low angle first (15° ≤ 2θ ≤ 90°):
2θ 21.00, I = 70, hkl 2 0 1; 2θ 22.02, I = 39, hkl 0 0 2; 2θ 29.36, I = 65, hkl 3 1 -1; 2θ 29.87, I = 100, hkl 3 1 0; 2θ 32.01, I = 23, hkl 2 0 -3; 2θ 32.24, I = 23, hkl 1 1 2; 2θ 33.29, I = 34, hkl 0 0 3; 2θ 39.55, I = 58, hkl 3 1 -3; 2θ 39.76, I = 36, hkl 0 2 0; 2θ 41.51, I = 40, hkl 3 1 2; 2θ 43.37, I = 23, hkl 6 0 -1; 2θ 63.88, I = 21, hkl 1 1 5

abc: 12.542 4.534 8.483
angles: 90.00 107.85 90.00
Space group C2/m (No. 12)
One atom of each set of equivalent atoms:
Na 0.161 0.000 0.153 [4 per cell]
Sb 0.000 0.500 0.500 [2 per cell]
Te 0.058 0.500 0.876 [4 per cell]
Te 0.173 0.000 0.545 [4 per cell]

Entry 8:
# NdDy3Tm8
Theoretical PXRD pattern, copper Kα. Input: a DFT-relaxed cell (GGA-PBE, Alexandria).

Main lines, low angle first (15° ≤ 2θ ≤ 90°):
2θ 16.07, I = 13, hkl 1 1 0; 2θ 27.76, I = 18, hkl 1 3 0; 2θ 31.80, I = 51, hkl 0 0 4; 2θ 32.06, I = 100, hkl 1 3 2; 2θ 32.44, I = 68, hkl 2 0 2; 2θ 35.85, I = 21, hkl 0 4 2; 2θ 36.28, I = 38, hkl 2 2 2; 2θ 46.09, I = 17, hkl 2 2 4; 2θ 52.36, I = 22, hkl 3 3 2; 2θ 56.83, I = 17, hkl 1 3 6; 2θ 57.34, I = 19, hkl 2 6 0; 2θ 67.08, I = 24, hkl 2 6 4

abc: 6.339 11.185 11.256
angles: 90.00 90.00 90.00
Space group Immm (No. 71)
One atom of each set of equivalent atoms:
Nd 0.000 0.000 0.000 [2 per cell]
Dy 0.000 0.000 0.500 [2 per cell]
Dy 0.000 0.500 0.245 [4 per cell]
Tm 0.000 0.170 0.251 [8 per cell]
Tm 0.248 0.255 0.000 [8 per cell]

Entry 9:
# BaMnAg2S4
Theoretical PXRD pattern, copper Kα. Input: a DFT-relaxed cell (GGA-PBE, Alexandria).

Main lines, low angle first (15° ≤ 2θ ≤ 90°):
2θ 17.83, I = 20, hkl 1 0 1; 2θ 24.48, I = 28, hkl 0 2 0; 2θ 28.40, I = 23, hkl 2 0 0; 2θ 28.88, I = 100, hkl 1 1 2; 2θ 30.45, I = 27, hkl 1 2 1; 2θ 35.32, I = 25, hkl 0 1 3; 2θ 37.84, I = 43, hkl 2 2 0; 2θ 44.08, I = 8, hkl 1 2 3; 2θ 45.91, I = 44, hkl 1 3 2; 2θ 50.58, I = 24, hkl 3 1 2; 2θ 58.64, I = 12, hkl 2 4 0; 2θ 58.95, I = 12, hkl 2 3 3

abc: 6.285 7.274 8.135
angles: 90.00 90.00 90.00
Space group I222 (No. 23)
One atom of each set of equivalent atoms:
Ba 0.000 0.000 0.000 [2 per cell]
Mn 0.000 0.000 0.500 [2 per cell]
Ag 0.000 0.500 0.187 [4 per cell]
S 0.177 0.196 0.341 [8 per cell]

Entry 10:
# TiAl2
Theoretical PXRD pattern, copper Kα. Input: a DFT-relaxed cell (GGA-PBE, Alexandria).

Main lines, low angle first (15° ≤ 2θ ≤ 90°):
2θ 22.18, I = 5, hkl 0 0 1; 2θ 39.08, I = 100, hkl 1 3 1; 2θ 44.75, I = 16, hkl 0 6 0; 2θ 45.25, I = 16, hkl 0 0 2; 2θ 46.29, I = 15, hkl 2 0 0; 2θ 65.54, I = 9, hkl 0 6 2; 2θ 66.35, I = 9, hkl 2 6 0; 2θ 66.74, I = 10, hkl 2 0 2; 2θ 78.67, I = 10, hkl 1 9 1; 2θ 79.39, I = 11, hkl 1 3 3; 2θ 80.90, I = 11, hkl 3 3 1; 2θ 83.97, I = 9, hkl 2 6 2

abc: 3.922 12.150 4.008
angles: 90.00 90.00 90.00
Space group Cmmm (No. 65)
One atom of each set of equivalent atoms:
Ti 0.000 0.156 0.000 [4 per cell]
Al 0.000 0.000 0.500 [2 per cell]
Al 0.000 0.327 0.500 [4 per cell]
Al 0.000 0.500 0.000 [2 per cell]

Entry 11:
# LaAlZn2Pd
Theoretical PXRD pattern, copper Kα. Input: a DFT-relaxed cell (GGA-PBE, Alexandria).

Main lines, low angle first (15° ≤ 2θ ≤ 90°):
2θ 29.95, I = 50, hkl 1 1 0; 2θ 31.54, I = 56, hkl 0 1 3; 2θ 32.32, I = 50, hkl 1 0 3; 2θ 34.01, I = 100, hkl 1 1 2; 2θ 41.65, I = 36, hkl 0 2 0; 2θ 44.05, I = 31, hkl 2 0 0; 2θ 45.42, I = 31, hkl 0 1 5; 2θ 45.99, I = 27, hkl 1 0 5; 2θ 53.68, I = 23, hkl 1 2 3; 2θ 55.18, I = 23, hkl 2 1 3; 2θ 62.22, I = 22, hkl 2 2 0; 2θ 65.13, I = 21, hkl 2 1 5

abc: 4.112 4.337 11.246
angles: 90.00 90.00 90.00
Space group Imm2 (No. 44)
One atom of each set of equivalent atoms:
La 0.000 0.000 0.000 [2 per cell]
Al 0.000 0.500 0.750 [2 per cell]
Zn 0.000 0.000 0.612 [2 per cell]
Zn 0.000 0.500 0.251 [2 per cell]
Pd 0.000 0.000 0.382 [2 per cell]

Entry 12:
# NaPtSO5
Theoretical PXRD pattern, copper Kα. Input: a DFT-relaxed cell (GGA-PBE, Alexandria).

Main lines, low angle first (15° ≤ 2θ ≤ 90°):
2θ 15.14, I = 100, hkl 1 1 0; 2θ 19.87, I = 17, hkl 0 2 0; 2θ 22.96, I = 52, hkl 2 0 0; 2θ 29.58, I = 32, hkl 1 1 -2; 2θ 30.54, I = 17, hkl 2 2 0; 2θ 32.21, I = 44, hkl 1 3 0; 2θ 33.61, I = 25, hkl 0 2 2; 2θ 36.21, I = 13, hkl 3 1 0; 2θ 38.96, I = 13, hkl 2 2 -2; 2θ 42.68, I = 15, hkl 3 1 -2; 2θ 43.15, I = 14, hkl 2 2 2; 2θ 46.54, I = 11, hkl 3 3 0

abc: 7.812 8.938 6.702
angles: 90.00 97.47 90.00
Space group C2/c (No. 15)
One atom of each set of equivalent atoms:
Na 0.000 0.128 0.250 [4 per cell]
Pt 0.000 0.500 0.000 [4 per cell]
S 0.000 0.218 0.750 [4 per cell]
O 0.000 0.396 0.250 [4 per cell]
O 0.102 0.127 0.904 [8 per cell]
O 0.123 0.321 0.651 [8 per cell]

What did the ninth record say?
# BaMnAg2S4
Theoretical PXRD pattern, copper Kα. Input: a DFT-relaxed cell (GGA-PBE, Alexandria).

Main lines, low angle first (15° ≤ 2θ ≤ 90°):
2θ 17.83, I = 20, hkl 1 0 1; 2θ 24.48, I = 28, hkl 0 2 0; 2θ 28.40, I = 23, hkl 2 0 0; 2θ 28.88, I = 100, hkl 1 1 2; 2θ 30.45, I = 27, hkl 1 2 1; 2θ 35.32, I = 25, hkl 0 1 3; 2θ 37.84, I = 43, hkl 2 2 0; 2θ 44.08, I = 8, hkl 1 2 3; 2θ 45.91, I = 44, hkl 1 3 2; 2θ 50.58, I = 24, hkl 3 1 2; 2θ 58.64, I = 12, hkl 2 4 0; 2θ 58.95, I = 12, hkl 2 3 3

abc: 6.285 7.274 8.135
angles: 90.00 90.00 90.00
Space group I222 (No. 23)
One atom of each set of equivalent atoms:
Ba 0.000 0.000 0.000 [2 per cell]
Mn 0.000 0.000 0.500 [2 per cell]
Ag 0.000 0.500 0.187 [4 per cell]
S 0.177 0.196 0.341 [8 per cell]